(1)
Diffraction record for LiZrN2. The PXRD pattern is theoretical, not measured: it uses a PBE-relaxed structure and Cu Kα, 1.54184 Å.
Neutral-atom scattering factors, no anomalous dispersion.

Largest 12 diffraction maxima, in order of rising 2θ, 2θ from 15° to 90°:
two_theta, d (Å), I/Imax
16.5, 5.388, 100
31.1, 2.872, 39
33.3, 2.694, 10
35.4, 2.534, 83
46.2, 1.965, 45
55.4, 1.658, 18
58.2, 1.585, 19
60.8, 1.523, 20
66.2, 1.412, 9
67.5, 1.387, 12
74.9, 1.267, 10
78.5, 1.219, 12

Structural model:
```
data_LiZrN2
_cell_length_a 3.316
_cell_length_b 3.316
_cell_length_c 5.388
_cell_angle_alpha 90.00
_cell_angle_beta 90.00
_cell_angle_gamma 120.00
_symmetry_space_group_name_H-M 'P 1'
_symmetry_Int_Tables_number 1
loop_
_symmetry_equiv_pos_as_xyz
'x,y,z'
loop_
_atom_site_label
_atom_site_type_symbol
_atom_site_fract_x
_atom_site_fract_y
_atom_site_fract_z
Li1 Li 0.000 0.000 0.000
Zr1 Zr 0.333 0.667 0.561
N1 N 0.000 0.000 0.372
N2 N 0.667 0.333 0.787
```

***

(2)
Diffraction record for Ta2MnOs. The PXRD pattern is theoretical, not measured: it uses a PBE-relaxed structure and Cu Kα, 1.54184 Å.
Neutral-atom scattering factors, no anomalous dispersion.

Largest 11 diffraction maxima, in order of rising 2θ, 2θ from 15° to 90°:
two_theta, d (Å), I/Imax
24.6, 3.625, 11
28.4, 3.139, 5
40.6, 2.220, 100
48.1, 1.893, 6
50.3, 1.812, 1
58.8, 1.570, 17
64.7, 1.440, 3
66.6, 1.404, 2
74.0, 1.282, 34
79.3, 1.208, 2
88.0, 1.110, 11

Structural model:
```
data_Ta2MnOs
_cell_length_a 4.440
_cell_length_b 4.440
_cell_length_c 4.440
_cell_angle_alpha 60.00
_cell_angle_beta 60.00
_cell_angle_gamma 60.00
_symmetry_space_group_name_H-M 'P 1'
_symmetry_Int_Tables_number 1
loop_
_symmetry_equiv_pos_as_xyz
'x,y,z'
loop_
_atom_site_label
_atom_site_type_symbol
_atom_site_fract_x
_atom_site_fract_y
_atom_site_fract_z
Ta1 Ta 0.250 0.250 0.250
Ta2 Ta 0.750 0.750 0.750
Mn1 Mn 0.000 0.000 0.000
Os1 Os 0.500 0.500 0.500
```

***

(3)
Diffraction record for SiO2. The PXRD pattern is theoretical, not measured: it uses a PBE-relaxed structure and Cu Kα, 1.54184 Å.
Neutral-atom scattering factors, no anomalous dispersion.

Largest 12 diffraction maxima, in order of rising 2θ, 2θ from 15° to 90°:
two_theta, d (Å), I/Imax
21.0, 4.232, 24
21.4, 4.145, 96
21.7, 4.098, 100
21.9, 4.061, 81
27.3, 3.268, 77
35.1, 2.556, 45
45.6, 1.989, 22
49.2, 1.853, 11
55.4, 1.660, 11
58.1, 1.587, 11
65.2, 1.431, 9
78.6, 1.217, 8

Structural model:
```
data_SiO2
_cell_length_a 5.121
_cell_length_b 5.121
_cell_length_c 8.799
_cell_angle_alpha 109.72
_cell_angle_beta 109.72
_cell_angle_gamma 57.45
_symmetry_space_group_name_H-M 'P 1'
_symmetry_Int_Tables_number 1
loop_
_symmetry_equiv_pos_as_xyz
'x,y,z'
loop_
_atom_site_label
_atom_site_type_symbol
_atom_site_fract_x
_atom_site_fract_y
_atom_site_fract_z
Si1 Si 0.049 0.326 0.313
Si2 Si 0.326 0.049 0.813
Si3 Si 0.674 0.951 0.187
Si4 Si 0.951 0.674 0.687
O1 O 0.000 0.500 0.500
O2 O 0.045 0.955 0.750
O3 O 0.171 0.421 0.809
O4 O 0.421 0.171 0.309
O5 O 0.500 0.000 0.000
O6 O 0.579 0.829 0.691
O7 O 0.829 0.579 0.191
O8 O 0.955 0.045 0.250
```

***

(4)
Diffraction record for ErFe2Si2. The PXRD pattern is theoretical, not measured: it uses a PBE-relaxed structure and Cu Kα, 1.54184 Å.
Neutral-atom scattering factors, no anomalous dispersion.

Largest 12 diffraction maxima, in order of rising 2θ, 2θ from 15° to 90°:
two_theta, d (Å), I/Imax
24.4, 3.644, 61
36.5, 2.465, 62
37.4, 2.405, 100
38.0, 2.366, 16
46.0, 1.974, 41
52.7, 1.736, 16
53.7, 1.707, 17
60.0, 1.541, 29
61.1, 1.516, 15
68.3, 1.373, 19
73.3, 1.291, 14
79.4, 1.207, 21

Structural model:
```
data_ErFe2Si2
_cell_length_a 5.495
_cell_length_b 5.495
_cell_length_c 5.495
_cell_angle_alpha 137.89
_cell_angle_beta 137.89
_cell_angle_gamma 61.07
_symmetry_space_group_name_H-M 'P 1'
_symmetry_Int_Tables_number 1
loop_
_symmetry_equiv_pos_as_xyz
'x,y,z'
loop_
_atom_site_label
_atom_site_type_symbol
_atom_site_fract_x
_atom_site_fract_y
_atom_site_fract_z
Er1 Er 0.000 0.000 0.000
Fe1 Fe 0.250 0.750 0.500
Fe2 Fe 0.750 0.250 0.500
Si1 Si 0.367 0.367 0.000
Si2 Si 0.633 0.633 0.000
```

***

(5)
Diffraction record for Mg2Si. The PXRD pattern is theoretical, not measured: it uses a PBE-relaxed structure and Cu Kα, 1.54184 Å.
Neutral-atom scattering factors, no anomalous dispersion.

Largest 12 diffraction maxima, in order of rising 2θ, 2θ from 15° to 90°:
two_theta, d (Å), I/Imax
21.8, 4.077, 44
30.0, 2.983, 54
35.0, 2.565, 100
35.3, 2.546, 64
35.8, 2.510, 49
35.9, 2.503, 90
38.1, 2.361, 85
39.7, 2.271, 44
40.8, 2.212, 44
40.9, 2.206, 47
43.2, 2.093, 62
44.5, 2.038, 63

Structural model:
```
data_Mg2Si
_cell_length_a 5.392
_cell_length_b 6.359
_cell_length_c 7.735
_cell_angle_alpha 108.06
_cell_angle_beta 90.18
_cell_angle_gamma 98.80
_symmetry_space_group_name_H-M 'P 1'
_symmetry_Int_Tables_number 1
loop_
_symmetry_equiv_pos_as_xyz
'x,y,z'
loop_
_atom_site_label
_atom_site_type_symbol
_atom_site_fract_x
_atom_site_fract_y
_atom_site_fract_z
Mg1 Mg 0.022 0.161 0.197
Mg2 Mg 0.219 0.865 0.420
Mg3 Mg 0.297 0.398 0.602
Mg4 Mg 0.449 0.747 0.029
Mg5 Mg 0.551 0.253 0.971
Mg6 Mg 0.703 0.602 0.398
Mg7 Mg 0.781 0.135 0.580
Mg8 Mg 0.978 0.839 0.803
Si1 Si 0.076 0.335 0.902
Si2 Si 0.478 0.833 0.704
Si3 Si 0.522 0.167 0.296
Si4 Si 0.924 0.665 0.098
```